For Na2SnS3O7, DFT lattice parameters and positions (GGA-PBE) gives the theoretical PXRD pattern in this record (CuKα).

Structure:
```
data_Na2SnS3O7
_cell_length_a 7.639
_cell_length_b 7.681
_cell_length_c 9.145
_cell_angle_alpha 66.88
_cell_angle_beta 75.94
_cell_angle_gamma 75.32
_symmetry_space_group_name_H-M 'P -1'
_symmetry_Int_Tables_number 2
_symmetry_space_group_name_Hall '-P 1'
loop_
_atom_site_label
_atom_site_type_symbol
_atom_site_fract_x
_atom_site_fract_y
_atom_site_fract_z
Na1 Na 0.010 0.480 0.229
Na2 Na 0.181 0.847 0.940
Sn1 Sn 0.485 0.848 0.393
S1 S 0.017 0.136 0.652
S2 S 0.379 0.348 0.978
S3 S 0.487 0.502 0.630
O1 O 0.011 0.699 0.500
O2 O 0.051 0.284 0.064
O3 O 0.064 0.801 0.206
O4 O 0.241 0.199 0.021
O5 O 0.253 0.096 0.664
O6 O 0.316 0.456 0.088
O7 O 0.321 0.520 0.805
```

Principal peaks in the range 2θ = 10–90°, in order of rising 2θ:
hkl, d/Å, 2θ (°), I (rel.)
1 0 0, 7.294, 12.1, 52
1 0 1, 5.977, 14.8, 64
0 1 -1, 4.592, 19.3, 95
0 1 2, 4.292, 20.7, 60
2 0 0, 3.647, 24.4, 69
2 0 1, 3.556, 25.0, 61
0 2 2, 3.299, 27.0, 100
0 3 0, 2.318, 38.9, 53